Record 1
Calculated XRD peak list of Ba3OsO4 for Cu Kα X-rays, from a GGA-PBE-relaxed structure.
Lines closer than 0.1° are merged.

Atomic structure:
abc: 7.752 8.231 6.328
angles: 90.00 90.00 90.00
Element x y z (fractional)
Ba  0.000  0.123  0.000
Ba  0.250  0.370  0.503
Ba  0.250  0.630  0.003
Ba  0.500  0.877  0.500
Ba  0.750  0.370  0.503
Ba  0.750  0.630  0.003
Os  0.000  0.725  0.555
Os  0.500  0.275  0.055
O  0.000  0.232  0.363
O  0.000  0.822  0.826
O  0.216  0.698  0.415
O  0.284  0.302  0.915
O  0.500  0.178  0.326
O  0.500  0.768  0.863
O  0.716  0.302  0.915
O  0.784  0.698  0.415

Principal peaks in the range 2θ from 10° to 80°, in order of rising 2θ:
10.7°, intensity 19, (0 1 0); 21.1°, intensity 19, (1 1 1); 21.6°, intensity 17, (0 2 0); 24.5°, intensity 14, (1 2 0); 25.4°, intensity 28, (2 1 0); 25.8°, intensity 37, (0 2 1); 28.2°, intensity 45, (0 0 2); 28.3°, intensity 21, (1 2 1); 29.1°, intensity 100, (2 1 1); 38.3°, intensity 17, (2 1 2); 46.9°, intensity 15, (4 0 0); 50.5°, intensity 25, (2 1 3)

Record 2
Calculated XRD peak list of USn4 for Cu Kα X-rays, from a GGA-PBE-relaxed structure.
Lines closer than 0.1° are merged.

Atomic structure:
abc: 5.774 5.774 5.774
angles: 90.00 90.00 90.00
Element x y z (fractional)
U  0.000  0.000  0.000
Sn  0.000  0.000  0.500
Sn  0.000  0.500  0.000
Sn  0.500  0.000  0.000
Sn  0.500  0.500  0.500

Principal peaks in the range 2θ from 10° to 80°, in order of rising 2θ:
15.3°, intensity 53, (1 0 0); 21.8°, intensity 48, (1 1 0); 26.7°, intensity 26, (1 1 1); 31.0°, intensity 100, (2 0 0); 34.7°, intensity 30, (2 1 0); 38.2°, intensity 23, (2 1 1); 44.4°, intensity 76, (2 2 0); 47.2°, intensity 16, (3 0 0); 55.1°, intensity 27, (2 2 2); 59.9°, intensity 13, (3 2 1); 64.6°, intensity 13, (4 0 0); 73.3°, intensity 37, (4 2 0)

Record 3
Calculated XRD peak list of TaMnNiPS for Cu Kα X-rays, from a GGA-PBE-relaxed structure.
Lines closer than 0.1° are merged.

Atomic structure:
abc: 8.477 3.515 6.036
angles: 90.00 106.89 90.00
Element x y z (fractional)
Ta  0.000  0.000  0.000
Ta  0.500  0.500  0.000
Mn  0.499  0.000  0.611
Mn  0.999  0.500  0.611
Ni  0.257  0.000  0.776
Ni  0.757  0.500  0.776
P  0.207  0.500  0.981
P  0.707  0.000  0.981
S  0.083  0.000  0.413
S  0.583  0.500  0.413

Principal peaks in the range 2θ from 10° to 80°, in order of rising 2θ:
15.3°, intensity 100, (0 0 1); 21.9°, intensity 41, (2 0 0); 27.7°, intensity 38, (1 1 0); 30.1°, intensity 36, (1 1 -1); 32.4°, intensity 24, (2 0 -2); 33.3°, intensity 62, (1 1 1); 41.4°, intensity 61, (3 1 -1); 44.5°, intensity 31, (1 1 2); 44.7°, intensity 20, (4 0 0); 46.6°, intensity 26, (3 1 -2); 52.0°, intensity 27, (0 2 0); 52.5°, intensity 20, (1 1 -3)

Record 4
Calculated XRD peak list of LiFeCl5 for Cu Kα X-rays, from a GGA-PBE-relaxed structure.
Lines closer than 0.1° are merged.

Atomic structure:
abc: 7.071 7.390 9.079
angles: 106.77 112.72 98.51
Element x y z (fractional)
Li  0.000  0.000  0.000
Li  0.000  0.000  0.500
Fe  0.335  0.658  0.254
Fe  0.665  0.342  0.746
Cl  0.044  0.903  0.738
Cl  0.111  0.670  0.363
Cl  0.300  0.361  0.096
Cl  0.339  0.862  0.123
Cl  0.346  0.245  0.530
Cl  0.654  0.755  0.470
Cl  0.661  0.138  0.877
Cl  0.700  0.639  0.904
Cl  0.889  0.330  0.637
Cl  0.956  0.097  0.262

Principal peaks in the range 2θ from 10° to 80°, in order of rising 2θ:
13.6°, intensity 87, (1 0 -1); 13.7°, intensity 53, (0 1 -1); 19.0°, intensity 57, (-1 1 1); 20.8°, intensity 37, (1 -1 1); 22.0°, intensity 100, (1 0 1); 22.1°, intensity 46, (1 1 -2); 24.4°, intensity 46, (0 2 -1); 25.5°, intensity 38, (2 0 -1); 27.4°, intensity 42, (2 0 -2); 27.7°, intensity 46, (0 2 -2); 29.9°, intensity 60, (-1 2 1); 45.0°, intensity 35, (2 2 -4)